Starting from a GGA-PBE-relaxed structure, the powder XRD pattern of Ba2Mg6ZnCu was computed for CuKα.

```
data_Ba2Mg6ZnCu
_symmetry_space_group_name_H-M 'I m m m'
_symmetry_Int_Tables_number 71
_symmetry_space_group_name_Hall '-I 2 2'
_cell_length_a 7.346
_cell_length_b 7.358
_cell_length_c 10.408
_cell_angle_alpha 90.00
_cell_angle_beta 90.00
_cell_angle_gamma 90.00
loop_
_atom_site_label
_atom_site_type_symbol
_atom_site_fract_x
_atom_site_fract_y
_atom_site_fract_z
_atom_site_occupancy
Ba1 Ba 0.000 0.000 0.250 1
Mg1 Mg 0.000 0.500 0.244 1
Mg2 Mg 0.244 0.256 0.000 1
Zn1 Zn 0.000 0.500 0.500 1
Cu1 Cu 0.000 0.500 0.000 1
```

Most intense lines, 15 to 90 degrees two-theta, by angle:
| Position (°2θ) | I/Imax | hkl |
| --- | --- | --- |
| 24.2 | 1000 | 2 0 0 |
| 29.8 | 245 | 2 0 2 |
| 34.5 | 503 | 2 2 0 |
| 42.6 | 441 | 3 1 2 |
| 49.6 | 349 | 4 0 0 |
| 55.9 | 196 | 4 2 0 |